1.
Starting from a cell relaxed with PBE, the powder X-ray diffraction pattern of LuCuS2 was simulated for λ = 1.5418 Å (Cu Kα).

```
data_LuCuS2
_chemical_formula_sum 'Lu1 Cu1 S2'
_cell_length_a 3.8551
_cell_length_b 3.8551
_cell_length_c 6.1005
_cell_angle_alpha 90.00
_cell_angle_beta 90.00
_cell_angle_gamma 120.00
_space_group_name_H-M_alt 'P 3 m 1'
_space_group_IT_number 156
loop_
_space_group_symop_operation_xyz
'x,y,z'
'-y,x-y,z'
'-x+y,-x,z'
'-y,-x,z'
'-x+y,y,z'
'x,x-y,z'
loop_
_atom_site_label
_atom_site_type_symbol
_atom_site_fract_x
_atom_site_fract_y
_atom_site_fract_z
Lu1 Lu 0.0000 0.0000 0.0000
Cu1 Cu 0.3333 0.6667 0.3950
S1 S 0.3333 0.6667 0.7706
S2 S 0.6667 0.3333 0.2650
```

Top 10 peaks for 10 to 80 degrees two-theta, in order of rising 2θ:
- 14.52°, intensity 36, (0 0 1)
- 26.70°, intensity 24, (1 0 0)
- 30.52°, intensity 100, (1 0 1)
- 40.04°, intensity 50, (1 0 2)
- 47.15°, intensity 33, (1 1 0)
- 52.71°, intensity 19, (0 1 3)
- 57.21°, intensity 17, (0 2 1)
- 63.53°, intensity 13, (0 2 2)
- 66.88°, intensity 11, (1 1 3)
- 77.20°, intensity 14, (2 1 1)

=====

2.
Starting from a cell relaxed with PBE, the powder X-ray diffraction pattern of LuCuS2 was simulated for λ = 1.5418 Å (Cu Kα).

```
data_LuCuS2
_chemical_formula_sum 'Lu4 Cu4 S8'
_cell_length_a 3.932
_cell_length_b 6.196
_cell_length_c 13.182
_cell_angle_alpha 90.00
_cell_angle_beta 90.00
_cell_angle_gamma 90.00
_space_group_name_H-M_alt 'P 21 21 21'
_space_group_IT_number 19
loop_
_space_group_symop_operation_xyz
'x,y,z'
'-x+1/2,-y,z+1/2'
'x+1/2,-y+1/2,-z'
'-x,y+1/2,-z+1/2'
loop_
_atom_site_label
_atom_site_type_symbol
_atom_site_fract_x
_atom_site_fract_y
_atom_site_fract_z
Lu1 Lu 0.218 0.246 0.134
Cu1 Cu 0.206 0.152 0.444
S1 S 0.216 0.484 0.960
S2 S 0.222 0.019 0.793
```

Top 10 peaks for 10 to 80 degrees two-theta, in order of rising 2θ:
- 15.80°, intensity 41, (0 1 1)
- 24.84°, intensity 94, (0 1 3)
- 26.39°, intensity 23, (1 0 2)
- 27.71°, intensity 100, (1 1 1)
- 33.84°, intensity 64, (1 1 3)
- 35.51°, intensity 21, (1 0 4)
- 39.47°, intensity 67, (1 2 2)
- 39.94°, intensity 37, (0 2 4)
- 46.17°, intensity 24, (2 0 0)
- 47.40°, intensity 44, (1 0 6)

=====

3.
Starting from a cell relaxed with PBE, the powder X-ray diffraction pattern of LuCuS2 was simulated for λ = 1.5418 Å (Cu Kα).

```
data_LuCuS2
_chemical_formula_sum 'Lu4 Cu4 S8'
_cell_length_a 13.152
_cell_length_b 3.894
_cell_length_c 6.203
_cell_angle_alpha 90.00
_cell_angle_beta 90.00
_cell_angle_gamma 90.00
_space_group_name_H-M_alt 'P n m a'
_space_group_IT_number 62
loop_
_space_group_symop_operation_xyz
'x,y,z'
'-x,-y,-z'
'-x+1/2,-y,z+1/2'
'x+1/2,y,-z+1/2'
'x+1/2,-y+1/2,-z+1/2'
'-x+1/2,y+1/2,z+1/2'
'-x,y+1/2,-z'
'x,-y+1/2,z'
loop_
_atom_site_label
_atom_site_type_symbol
_atom_site_fract_x
_atom_site_fract_y
_atom_site_fract_z
Lu1 Lu 0.134 0.250 0.003
Cu1 Cu 0.046 0.750 0.379
S1 S 0.041 0.750 0.759
S2 S 0.207 0.750 0.235
```

Top 10 peaks for 10 to 80 degrees two-theta, in order of rising 2θ:
- 15.80°, intensity 46, (1 0 1)
- 24.87°, intensity 100, (3 0 1)
- 26.60°, intensity 27, (2 1 0)
- 27.89°, intensity 97, (1 1 1)
- 34.02°, intensity 59, (3 1 1)
- 39.60°, intensity 80, (2 1 2)
- 39.96°, intensity 38, (4 0 2)
- 46.65°, intensity 28, (0 2 0)
- 47.61°, intensity 50, (6 1 0)
- 53.58°, intensity 24, (3 2 1)

=====

4.
Starting from a cell relaxed with PBE, the powder X-ray diffraction pattern of SrLuCuS3 was simulated for λ = 1.5418 Å (Cu Kα).

```
data_SrLuCuS3
_chemical_formula_sum 'Sr4 Lu4 Cu4 S12'
_cell_length_a 3.900
_cell_length_b 13.024
_cell_length_c 10.036
_cell_angle_alpha 90.00
_cell_angle_beta 90.00
_cell_angle_gamma 90.00
_space_group_name_H-M_alt 'C m c m'
_space_group_IT_number 63
_space_group_name_Hall '-C 2c 2'
loop_
_atom_site_label
_atom_site_type_symbol
_atom_site_fract_x
_atom_site_fract_y
_atom_site_fract_z
Sr1 Sr 0.000 0.249 0.250
Lu1 Lu 0.000 0.500 0.000
Cu1 Cu 0.000 0.028 0.750
S1 S 0.000 0.135 0.564
S2 S 0.000 0.425 0.750
```

Top 10 peaks for 10 to 80 degrees two-theta, in order of rising 2θ:
- 13.60°, intensity 66, (0 2 0)
- 22.37°, intensity 46, (0 2 2)
- 27.39°, intensity 28, (0 4 0)
- 29.82°, intensity 52, (1 1 2)
- 30.82°, intensity 22, (1 3 0)
- 32.12°, intensity 39, (1 3 1)
- 35.76°, intensity 100, (0 0 4)
- 45.59°, intensity 53, (0 6 2)
- 45.65°, intensity 23, (0 4 4)
- 67.23°, intensity 26, (2 4 4)